The following is a calculated X-ray powder pattern of LiV4P3O12. It was derived from a DFT-relaxed cell (GGA+U, Alexandria), using Cu Kα (λ = 1.5418 Å).
Intensities are scaled so that the largest is 1000.

The 8 most intense peaks (2θ from 10° to 80°), in order of rising 2θ:
| 2θ (°) | I (rel.) | (hkl) |
| --- | --- | --- |
| 20.63 | 147 | 1 1 2 |
| 26.69 | 216 | 1 0 5 |
| 29.68 | 217 | 2 1 1 |
| 32.24 | 1000 | 2 0 4 |
| 38.65 | 110 | 2 0 6 |
| 43.02 | 156 | 3 1 2 |
| 53.80 | 151 | 4 0 0 |
| 53.99 | 168 | 2 2 8 |

Crystal structure
abc: 6.815 6.815 19.156
angles: 90.00 90.00 90.00
Space group I-42d (No. 122)
One atom of each set of equivalent atoms:
Li (0.000, 0.000, 0.000) [4 per cell]
V (0.000, 0.000, 0.273) [8 per cell]
V (0.246, 0.250, 0.625) [8 per cell]
P (0.000, 0.000, 0.500) [4 per cell]
P (0.150, 0.750, 0.125) [8 per cell]
O (0.007, 0.717, 0.061) [16 per cell]
O (0.049, 0.189, 0.542) [16 per cell]
O (0.064, 0.232, 0.356) [16 per cell]